# 1
This entry pairs a crystal structure of SmHoTe2S with its calculated powder X-ray diffraction pattern. Radiation: Cu Kα (λ = 1.5418 Å). Structure: the PBE geometry in Alexandria.

a b c (Å): 4.4225 4.4225 15.6645
angles (deg): 90.00 90.00 90.00
Element x y z (fractional)
1 Sm 0.2500 0.2500 0.1038
2 Sm 0.7500 0.7500 0.8962
3 Ho 0.2500 0.2500 0.6122
4 Ho 0.7500 0.7500 0.3878
5 Te 0.2500 0.2500 0.4078
6 Te 0.2500 0.2500 0.7970
7 Te 0.7500 0.7500 0.2030
8 Te 0.7500 0.7500 0.5922
9 S 0.2500 0.7500 0.0000
10 S 0.7500 0.2500 0.0000

Main lines, by intensity (2θ from 10° to 90°):
| 2θ (°) | d_spacing | Rel. int. |
| --- | --- | --- |
| 28.54 | 3.128 | 100.0 |
| 40.80 | 2.212 | 53.3 |
| 36.78 | 2.444 | 40.2 |
| 26.41 | 3.375 | 31.1 |
| 40.11 | 2.248 | 27.6 |
| 22.71 | 3.916 | 22.6 |
| 58.55 | 1.576 | 18.2 |
| 45.25 | 2.004 | 16.9 |

# 2
This entry pairs a crystal structure of SmHo2TmS4 with its calculated powder X-ray diffraction pattern. Radiation: Cu Kα (λ = 1.5418 Å). Structure: the PBE geometry in Alexandria.

a b c (Å): 6.7603 3.8655 6.8200
angles (deg): 90.00 108.97 90.00
Element x y z (fractional)
1 Sm 0.0000 0.0000 0.0000
2 Ho 0.5000 0.0000 0.5000
3 Ho 0.5000 0.5000 0.0000
4 Tm 0.0000 0.5000 0.5000
5 S 0.2507 0.0000 0.7431
6 S 0.2564 0.5000 0.2594
7 S 0.7436 0.5000 0.7406
8 S 0.7493 0.0000 0.2569

Main lines, by intensity (2θ from 10° to 90°):
| 2θ (°) | d_spacing | Rel. int. |
| --- | --- | --- |
| 32.42 | 2.762 | 100.0 |
| 28.17 | 3.168 | 40.6 |
| 46.34 | 1.959 | 24.2 |
| 46.66 | 1.947 | 23.8 |
| 27.66 | 3.225 | 21.3 |
| 27.91 | 3.197 | 20.8 |
| 46.02 | 1.972 | 12.4 |
| 58.25 | 1.584 | 12.2 |

# 3
This entry pairs a crystal structure of SmHo2US8 with its calculated powder X-ray diffraction pattern. Radiation: Cu Kα (λ = 1.5418 Å). Structure: the PBE geometry in Alexandria.

a b c (Å): 5.8839 8.1471 6.4374
angles (deg): 90.00 90.16 90.00
Element x y z (fractional)
1 Sm 0.0000 0.0000 0.0000
2 Ho 0.5000 0.2541 0.5000
3 Ho 0.5000 0.7459 0.5000
4 U 0.0000 0.5000 0.0000
5 S 0.2140 0.0000 0.3974
6 S 0.2473 0.5000 0.3325
7 S 0.2484 0.2685 0.8587
8 S 0.2484 0.7315 0.8587
9 S 0.7516 0.2685 0.1413
10 S 0.7516 0.7315 0.1413
11 S 0.7527 0.5000 0.6675
12 S 0.7860 0.0000 0.6026

Main lines, by intensity (2θ from 10° to 90°):
| 2θ (°) | d_spacing | Rel. int. |
| --- | --- | --- |
| 20.45 | 4.343 | 100.0 |
| 26.62 | 3.349 | 57.3 |
| 40.33 | 2.237 | 55.1 |
| 38.80 | 2.321 | 41.4 |
| 25.88 | 3.442 | 32.9 |
| 27.72 | 3.219 | 21.8 |
| 49.42 | 1.844 | 19.9 |
| 47.92 | 1.898 | 18.2 |

# 4
This entry pairs a crystal structure of SmYHo2S6 with its calculated powder X-ray diffraction pattern. Radiation: Cu Kα (λ = 1.5418 Å). Structure: the PBE geometry in Alexandria.

a b c (Å): 7.3660 7.3660 7.3660
angles (deg): 56.23 56.23 56.23
Element x y z (fractional)
1 Sm 0.0000 0.0000 0.0000
2 Y 0.4968 0.4968 0.4968
3 Ho 0.2954 0.2954 0.2954
4 Ho 0.7974 0.7974 0.7974
5 S 0.0912 0.6854 0.4093
6 S 0.1951 0.5900 0.8998
7 S 0.4093 0.0912 0.6854
8 S 0.5900 0.8998 0.1951
9 S 0.6854 0.4093 0.0912
10 S 0.8998 0.1951 0.5900

Main lines, by intensity (2θ from 10° to 90°):
| 2θ (°) | d_spacing | Rel. int. |
| --- | --- | --- |
| 24.25 | 3.671 | 100.0 |
| 25.66 | 3.471 | 96.6 |
| 39.03 | 2.308 | 84.6 |
| 45.25 | 2.004 | 51.2 |
| 35.60 | 2.522 | 49.7 |
| 17.58 | 5.044 | 49.3 |
| 44.40 | 2.040 | 48.6 |
| 51.59 | 1.772 | 26.0 |

# 5
This entry pairs a crystal structure of SrHo4S6 with its calculated powder X-ray diffraction pattern. Radiation: Cu Kα (λ = 1.5418 Å). Structure: the PBE geometry in Alexandria.

a b c (Å): 6.7410 6.7410 20.1263
angles (deg): 90.00 90.00 146.17
Element x y z (fractional)
1 Sr 0.1574 0.8426 0.7500
2 Sr 0.8426 0.1574 0.2500
3 Ho 0.0949 0.9051 0.1285
4 Ho 0.0949 0.9051 0.3715
5 Ho 0.3629 0.6371 0.0403
6 Ho 0.3629 0.6371 0.4597
7 Ho 0.6371 0.3629 0.5403
8 Ho 0.6371 0.3629 0.9597
9 Ho 0.9051 0.0949 0.6285
10 Ho 0.9051 0.0949 0.8715
11 S 0.0000 0.0000 0.0000
12 S 0.0000 0.0000 0.5000
13 S 0.1747 0.8253 0.2500
14 S 0.2694 0.7306 0.5853
15 S 0.2694 0.7306 0.9147
16 S 0.4581 0.5419 0.1599
17 S 0.4581 0.5419 0.3401
18 S 0.5419 0.4581 0.6599
19 S 0.5419 0.4581 0.8401
20 S 0.7306 0.2694 0.0853
21 S 0.7306 0.2694 0.4147
22 S 0.8253 0.1747 0.7500

Main lines, by intensity (2θ from 10° to 90°):
| 2θ (°) | d_spacing | Rel. int. |
| --- | --- | --- |
| 26.10 | 3.415 | 100.0 |
| 32.14 | 2.785 | 70.3 |
| 33.69 | 2.660 | 58.2 |
| 31.18 | 2.868 | 43.4 |
| 27.23 | 3.275 | 41.8 |
| 43.30 | 2.090 | 36.8 |
| 45.79 | 1.981 | 36.5 |
| 34.14 | 2.626 | 36.0 |

# 6
This entry pairs a crystal structure of SrHo2S4 with its calculated powder X-ray diffraction pattern. Radiation: Cu Kα (λ = 1.5418 Å). Structure: the PBE geometry in Alexandria.

a b c (Å): 8.2603 8.2531 8.2474
angles (deg): 60.08 59.99 59.93
Element x y z (fractional)
1 Sr 0.1250 0.1250 0.1250
2 Sr 0.8750 0.8750 0.8750
3 Ho 0.0000 0.5000 0.5000
4 Ho 0.5000 0.0000 0.5000
5 Ho 0.5000 0.5000 0.0000
6 Ho 0.5000 0.5000 0.5000
7 S 0.2651 0.2657 0.7046
8 S 0.2646 0.7046 0.2657
9 S 0.2657 0.2651 0.2646
10 S 0.2954 0.7354 0.7349
11 S 0.7046 0.2646 0.2651
12 S 0.7343 0.7349 0.7354
13 S 0.7354 0.2954 0.7343
14 S 0.7349 0.7343 0.2954

Main lines, by intensity (2θ from 10° to 90°):
| 2θ (°) | d_spacing | Rel. int. |
| --- | --- | --- |
| 25.31 | 3.519 | 100.0 |
| 43.88 | 2.063 | 66.0 |
| 13.14 | 6.739 | 45.8 |
| 30.64 | 2.918 | 42.3 |
| 40.12 | 2.248 | 35.6 |
| 26.45 | 3.369 | 23.4 |
| 60.94 | 1.520 | 15.9 |
| 51.33 | 1.780 | 15.3 |